The following is a computed powder diffraction line list of Ho2MnPd6. It was derived from a crystal structure in Alexandria, relaxed with PBE, using a wavelength of 1.5418 Å.
Peak positions follow from Bragg's law for the DFT cell and can differ from measured ones.

Principal peaks in the range 2θ from 10° to 90°, low angle first:
2θ/deg	I (rel.)
23.95	181
27.00	320
40.08	1000
41.00	162
42.67	215
49.94	146

Cell and atoms:
```
Ho2MnPd6
1.0
6.613 -3.865 0.000
6.613 3.865 0.000
-1.005 0.000 3.511
Ho Mn Pd
2 1 6
direct
0.154 0.154 0.152
0.846 0.846 0.848
0.500 0.500 0.500
0.119 0.550 0.335
0.264 0.736 0.000
0.450 0.881 0.665
0.550 0.119 0.335
0.736 0.264 0.000
0.881 0.450 0.665
```

---

The following is a computed powder diffraction line list of K2ThPdO4. It was derived from a crystal structure in Alexandria, relaxed with PBE, using a wavelength of 1.5418 Å.
Peak positions follow from Bragg's law for the DFT cell and can differ from measured ones.

Principal peaks in the range 2θ from 10° to 90°, low angle first:
2θ/deg	I (rel.)
10.30	1000
24.50	632
25.22	440
28.98	501
31.87	399
33.22	395

Cell and atoms:
```
K2ThPdO4
1.0
4.423 0.000 0.000
0.000 8.021 0.000
0.000 0.000 8.590
K Th Pd O
4 2 2 8
direct
0.250 0.014 0.143
0.250 0.486 0.143
0.750 0.514 0.857
0.750 0.986 0.857
0.250 0.750 0.583
0.750 0.250 0.417
0.250 0.250 0.716
0.750 0.750 0.284
0.250 0.250 0.351
0.250 0.505 0.714
0.250 0.750 0.313
0.250 0.995 0.714
0.750 0.005 0.286
0.750 0.250 0.687
0.750 0.495 0.286
0.750 0.750 0.649
```

---

The following is a computed powder diffraction line list of Cs2K4Tl. It was derived from a crystal structure in Alexandria, relaxed with PBE, using a wavelength of 1.5418 Å.
Peak positions follow from Bragg's law for the DFT cell and can differ from measured ones.

Principal peaks in the range 2θ from 10° to 90°, low angle first:
2θ/deg	I (rel.)
10.58	677
16.77	697
16.97	464
22.71	1000
27.20	567
32.56	627

Cell and atoms:
```
Cs2K4Tl
1.0
-8.360 8.360 3.653
8.360 -8.360 3.653
8.360 8.360 -3.653
Cs K Tl
4 8 2
direct
0.118 0.618 0.736
0.382 0.118 0.500
0.618 0.882 0.500
0.882 0.382 0.264
0.086 0.181 0.267
0.181 0.914 0.095
0.319 0.414 0.733
0.414 0.681 0.095
0.586 0.319 0.905
0.681 0.586 0.267
0.819 0.086 0.905
0.914 0.819 0.733
0.250 0.250 0.000
0.750 0.750 0.000
```

---

The following is a computed powder diffraction line list of Th2Pt3Rh3. It was derived from a crystal structure in Alexandria, relaxed with PBE, using a wavelength of 1.5418 Å.
Peak positions follow from Bragg's law for the DFT cell and can differ from measured ones.

Principal peaks in the range 2θ from 10° to 90°, low angle first:
2θ/deg	I (rel.)
37.27	1000
42.41	174
43.36	164
44.12	157
74.19	135
75.53	130

Cell and atoms:
```
Th2Pt3Rh3
1.0
4.105 0.000 0.000
0.000 4.173 0.000
0.000 0.000 8.526
Th Pt Rh
2 3 3
direct
0.000 0.000 0.246
0.000 0.000 0.754
0.000 0.500 0.000
0.000 0.500 0.500
0.500 0.000 0.500
0.500 0.000 0.000
0.500 0.500 0.249
0.500 0.500 0.751
```